Entry 1:
The following is a computed XRD peak list of LiCoSiO4. It was derived from a structure optimized by DFT (PBE+U), using Cu Ka.

Atomic structure:
```
LiCoSiO4
1.0
10.3999 0.0000 0.0000
0.0000 6.6511 0.0000
0.0000 0.0000 5.0805
Li Co Si O
4 4 4 16
direct
0.1547 0.0097 0.0000
0.3453 0.5097 0.5000
0.6547 0.4903 0.0000
0.8453 0.9903 0.5000
0.1683 0.5134 0.0026
0.3317 0.0134 0.5026
0.6683 0.9866 0.0026
0.8317 0.4866 0.5026
0.0938 0.2670 0.5034
0.4062 0.7670 0.0034
0.5938 0.2330 0.5034
0.9062 0.7330 0.0034
0.0622 0.7384 0.9513
0.1236 0.2786 0.8227
0.1612 0.0602 0.3901
0.1646 0.4614 0.3638
0.3354 0.9614 0.8638
0.3388 0.5602 0.8901
0.3764 0.7786 0.3227
0.4378 0.2384 0.4513
0.5622 0.7616 0.9513
0.6236 0.2214 0.8227
0.6612 0.4398 0.3901
0.6646 0.0386 0.3638
0.8354 0.5386 0.8638
0.8388 0.9398 0.8901
0.8764 0.7214 0.3227
0.9378 0.2616 0.4513
```

Peak list (8 most intense, 2θ = 5–70°, in order of falling intensity)
two_theta, d (Å), intensity
23.6, 3.764, 1000
22.0, 4.037, 633
15.8, 5.603, 579
36.6, 2.453, 439
35.3, 2.540, 431
31.9, 2.802, 429
29.0, 3.074, 416
21.7, 4.097, 353

=====

Entry 2:
The following is a computed XRD peak list of LiCoSiO4. It was derived from a structure optimized by DFT (PBE+U), using Cu Ka.

Atomic structure:
```
LiCoSiO4
1.0
2.7572 -4.7723 0.0000
2.7572 4.7723 0.0000
-0.0170 0.0000 11.2449
Li Co Si O
3 3 3 12
direct
0.0000 0.0000 0.0000
0.0000 0.9994 0.3330
0.0006 0.0000 0.6670
0.0000 0.4996 0.3333
0.5004 0.0000 0.6667
0.5000 0.5000 0.0000
0.0002 0.5015 0.8333
0.4985 0.9998 0.1667
0.5002 0.4998 0.5000
0.1706 0.7761 0.7468
0.1723 0.3970 0.9189
0.2237 0.3949 0.4143
0.2239 0.8294 0.2532
0.3944 0.1706 0.0803
0.3962 0.2243 0.5859
0.6030 0.8277 0.0811
0.6051 0.7763 0.5857
0.7760 0.1716 0.2521
0.7757 0.6038 0.4141
0.8284 0.2240 0.7479
0.8294 0.6056 0.9197
```

Peak list (8 most intense, 2θ = 5–70°, in order of falling intensity)
two_theta, d (Å), intensity
24.5, 3.639, 1000
46.1, 1.968, 207
53.3, 1.718, 136
63.1, 1.474, 116
18.6, 4.774, 109
37.7, 2.387, 97
61.0, 1.519, 55
37.1, 2.422, 55

=====

Entry 3:
The following is a computed XRD peak list of Li3Co2Si3O10. It was derived from a structure optimized by DFT (PBE+U), using Cu Ka.

Atomic structure:
```
Li3Co2Si3O10
1.0
4.6472 -2.7455 0.0000
4.6472 2.7455 0.0000
-2.3028 0.0000 16.7440
Li Co Si O
6 4 6 20
direct
0.0971 0.9029 0.5000
0.1828 0.9391 0.8278
0.3161 0.5887 0.2666
0.5887 0.3161 0.7666
0.9029 0.0971 0.0000
0.9391 0.1828 0.3278
0.5620 0.7365 0.9650
0.7365 0.5620 0.4650
0.7497 0.9426 0.6265
0.9426 0.7497 0.1265
0.0753 0.2831 0.6487
0.2249 0.4114 0.9519
0.2831 0.0753 0.1487
0.4114 0.2249 0.4519
0.6464 0.8627 0.2993
0.8627 0.6464 0.7993
0.0590 0.9984 0.6126
0.1149 0.2051 0.4434
0.1467 0.5499 0.8624
0.2051 0.1149 0.9434
0.2272 0.4036 0.1609
0.3557 0.9452 0.2380
0.3872 0.5317 0.4801
0.4036 0.2272 0.6609
0.5317 0.3872 0.9801
0.5499 0.1467 0.3624
0.5530 0.8702 0.0957
0.5853 0.6887 0.8390
0.6577 0.9639 0.5047
0.6887 0.5853 0.3390
0.8511 0.9042 0.7556
0.8702 0.5530 0.5957
0.9042 0.8511 0.2556
0.9452 0.3557 0.7380
0.9639 0.6577 0.0047
0.9984 0.0590 0.1126
```

Peak list (8 most intense, 2θ = 5–70°, in order of falling intensity)
two_theta, d (Å), intensity
19.2, 4.614, 1000
33.2, 2.696, 514
32.1, 2.791, 491
27.5, 3.245, 423
21.0, 4.237, 406
22.3, 3.992, 369
10.6, 8.372, 369
36.4, 2.465, 338

=====

Entry 4:
The following is a computed XRD peak list of Li2CoSi4O10. It was derived from a structure optimized by DFT (PBE+U), using Cu Ka.

Atomic structure:
```
Li2CoSi4O10
1.0
6.9073 0.0000 0.0000
-3.4013 6.7855 0.0000
-2.2025 -2.9217 8.9263
Li Co Si O
4 2 8 20
direct
0.1216 0.2649 0.4786
0.2867 0.8142 0.9281
0.7133 0.1858 0.0719
0.8784 0.7351 0.5214
0.2555 0.1920 0.0718
0.7445 0.8081 0.9282
0.1159 0.8651 0.2449
0.2568 0.5502 0.3100
0.3033 0.1104 0.7350
0.3895 0.7717 0.6410
0.6105 0.2283 0.3590
0.6967 0.8896 0.2650
0.7432 0.4498 0.6900
0.8841 0.1349 0.7551
0.0674 0.1228 0.6747
0.0680 0.8874 0.0795
0.0945 0.6399 0.2388
0.1531 0.3108 0.2287
0.2222 0.8774 0.6223
0.2678 0.5691 0.4884
0.3666 0.0520 0.3658
0.3903 0.1217 0.9070
0.4183 0.7116 0.7918
0.4791 0.2944 0.6823
0.5209 0.7056 0.3177
0.5817 0.2884 0.2082
0.6097 0.8783 0.0930
0.6334 0.9480 0.6342
0.7322 0.4309 0.5116
0.7778 0.1226 0.3777
0.8469 0.6892 0.7713
0.9055 0.3601 0.7612
0.9320 0.1126 0.9205
0.9326 0.8772 0.3253
```

Peak list (8 most intense, 2θ = 5–70°, in order of falling intensity)
two_theta, d (Å), intensity
23.4, 3.797, 1000
13.7, 6.449, 725
28.9, 3.091, 678
23.8, 3.734, 607
18.1, 4.894, 439
19.9, 4.463, 418
17.0, 5.219, 411
15.1, 5.873, 339

=====

Entry 5:
The following is a computed XRD peak list of Li3Co2Si3O10. It was derived from a structure optimized by DFT (PBE+U), using Cu Ka.

Atomic structure:
```
Li3Co2Si3O10
1.0
5.3474 0.0000 0.0000
-2.6175 4.6801 0.0000
-1.4239 -1.0562 16.8514
Li Co Si O
6 4 6 20
direct
0.0000 0.0000 0.0000
0.0013 0.1475 0.5012
0.0049 0.4984 0.6092
0.0055 0.6471 0.1081
0.1185 0.2633 0.8200
0.8787 0.3779 0.2837
0.3148 0.6478 0.9673
0.3157 0.8184 0.4702
0.6894 0.9992 0.1401
0.6970 0.8317 0.6421
0.3510 0.3491 0.1507
0.3557 0.1548 0.6519
0.4931 0.6836 0.3038
0.5114 0.9632 0.8039
0.6515 0.4881 0.4517
0.6529 0.2993 0.9567
0.0669 0.1672 0.6169
0.0759 0.0417 0.1174
0.2689 0.4215 0.2379
0.2754 0.7116 0.3604
0.3023 0.6866 0.8502
0.3286 0.0891 0.7479
0.3423 0.2939 0.9501
0.3585 0.8802 0.6055
0.3609 0.1832 0.4645
0.3668 0.6124 0.0975
0.6335 0.0324 0.0091
0.6373 0.7574 0.4961
0.6490 0.4513 0.6395
0.6633 0.3584 0.1590
0.6738 0.5465 0.3561
0.7004 0.9634 0.2596
0.7301 0.2306 0.8693
0.7362 0.9311 0.7527
0.9313 0.6048 0.9901
0.9445 0.4847 0.4880
```

Peak list (8 most intense, 2θ = 5–70°, in order of falling intensity)
two_theta, d (Å), intensity
19.1, 4.642, 1000
31.9, 2.809, 979
10.5, 8.426, 930
21.1, 4.205, 750
22.3, 3.980, 703
19.4, 4.576, 461
33.6, 2.666, 439
33.1, 2.704, 413

=====

Which formula does entry 5 have? Li3Co2Si3O10